(1)
# Ce5ZnSi2
Simulated powder XRD pattern, λ = 1.5418 Å (Cu Kα). Input: a structure optimized by DFT (GGA-PBE).
Lines closer than 0.1° are merged.

Structural model:
abc: 5.3001 5.3001 16.4824
angles: 90.00 90.00 121.88
Sites, in units of the cell vectors:
Ce (0.0647, 0.9353, 0.5731)
Ce (0.0647, 0.9353, 0.9269)
Ce (0.2661, 0.7339, 0.2500)
Ce (0.4070, 0.5930, 0.6036)
Ce (0.4070, 0.5930, 0.8964)
Ce (0.5930, 0.4070, 0.1036)
Ce (0.5930, 0.4070, 0.3964)
Ce (0.7339, 0.2661, 0.7500)
Ce (0.9353, 0.0647, 0.0731)
Ce (0.9353, 0.0647, 0.4269)
Zn (0.0604, 0.9396, 0.7500)
Zn (0.9396, 0.0604, 0.2500)
Si (0.2672, 0.7328, 0.0702)
Si (0.2672, 0.7328, 0.4298)
Si (0.7328, 0.2672, 0.5702)
Si (0.7328, 0.2672, 0.9298)

The 8 most intense peaks (2θ from 10° to 80°), by angle:
d/Å	2θ (°)	I_rel
3.482	25.59	79
2.747	32.60	59
2.615	34.29	100
2.574	34.85	64
2.386	37.70	41
2.065	43.85	33
1.878	48.46	38
1.760	51.96	28



(2)
# AcCd2Ge2Pd
Simulated powder XRD pattern, λ = 1.5418 Å (Cu Kα). Input: a structure optimized by DFT (GGA-PBE).
Lines closer than 0.1° are merged.

Structural model:
abc: 6.8044 6.8044 6.8044
angles: 133.93 133.93 67.20
Sites, in units of the cell vectors:
Ac (0.0000, 0.0000, 0.0000)
Cd (0.2500, 0.7500, 0.5000)
Cd (0.7500, 0.2500, 0.5000)
Ge (0.2905, 0.2905, 0.0000)
Ge (0.7095, 0.7095, 0.0000)
Pd (0.5000, 0.5000, 0.0000)

The 8 most intense peaks (2θ from 10° to 80°), by angle:
d/Å	2θ (°)	I_rel
3.136	28.46	100
2.834	31.57	43
2.663	33.66	89
1.940	46.82	57
1.883	48.34	32
1.689	54.33	27
1.614	57.05	28
1.568	58.89	28



(3)
# Na2ZnCd6Ag
Simulated powder XRD pattern, λ = 1.5418 Å (Cu Kα). Input: a structure optimized by DFT (GGA-PBE).
Lines closer than 0.1° are merged.

Structural model:
abc: 12.4402 12.4402 12.4402
angles: 33.55 33.55 33.55
Sites, in units of the cell vectors:
Na (0.1128, 0.1128, 0.1128)
Na (0.2873, 0.2873, 0.2873)
Na (0.7127, 0.7127, 0.7127)
Na (0.8872, 0.8872, 0.8872)
Zn (0.4272, 0.4272, 0.4272)
Zn (0.5728, 0.5728, 0.5728)
Cd (0.0656, 0.6613, 0.6613)
Cd (0.2253, 0.2253, 0.6645)
Cd (0.2253, 0.6645, 0.2253)
Cd (0.3355, 0.7747, 0.7747)
Cd (0.3387, 0.3387, 0.9344)
Cd (0.3387, 0.9344, 0.3387)
Cd (0.6613, 0.0656, 0.6613)
Cd (0.6613, 0.6613, 0.0656)
Cd (0.6645, 0.2253, 0.2253)
Cd (0.7747, 0.3355, 0.7747)
Cd (0.7747, 0.7747, 0.3355)
Cd (0.9344, 0.3387, 0.3387)
Ag (0.0000, 0.0000, 0.0000)
Ag (0.5000, 0.5000, 0.5000)

The 8 most intense peaks (2θ from 10° to 80°), by angle:
d/Å	2θ (°)	I_rel
5.864	15.11	36
4.660	19.04	75
2.932	30.49	32
2.844	31.45	74
2.644	33.90	100
2.330	38.65	97
2.271	39.69	46
1.795	50.86	46



(4)
# Ce4ScPb3
Simulated powder XRD pattern, λ = 1.5418 Å (Cu Kα). Input: a structure optimized by DFT (GGA-PBE).
Lines closer than 0.1° are merged.

Structural model:
abc: 9.1421 9.1421 9.1421
angles: 96.72 96.72 139.98
Sites, in units of the cell vectors:
Ce (0.0983, 0.7633, 0.8616)
Ce (0.2367, 0.0983, 0.3350)
Ce (0.2633, 0.5983, 0.8616)
Ce (0.4017, 0.2633, 0.6650)
Ce (0.5983, 0.7367, 0.3350)
Ce (0.7367, 0.4017, 0.1384)
Ce (0.7633, 0.9017, 0.6650)
Ce (0.9017, 0.2367, 0.1384)
Sc (0.2500, 0.7500, 0.5000)
Sc (0.7500, 0.2500, 0.5000)
Pb (0.1496, 0.3504, 0.5000)
Pb (0.2500, 0.2500, 0.0000)
Pb (0.3504, 0.8504, 0.2007)
Pb (0.6496, 0.1496, 0.7993)
Pb (0.7500, 0.7500, 0.0000)
Pb (0.8504, 0.6496, 0.5000)

The 8 most intense peaks (2θ from 10° to 80°), by angle:
d/Å	2θ (°)	I_rel
3.842	23.15	55
3.128	28.53	41
2.967	30.12	100
2.781	32.18	73
2.716	32.97	94
2.666	33.62	73
2.179	41.44	35
2.122	42.60	87



(5)
# UGaAu6
Simulated powder XRD pattern, λ = 1.5418 Å (Cu Kα). Input: a structure optimized by DFT (GGA-PBE).
Lines closer than 0.1° are merged.

Structural model:
abc: 4.8168 5.0928 7.3765
angles: 83.47 89.86 61.83
Sites, in units of the cell vectors:
U (0.0000, 0.0000, 0.0000)
Ga (0.5000, 0.0000, 0.5000)
Au (0.1361, 0.7265, 0.4270)
Au (0.3195, 0.3616, 0.7858)
Au (0.3502, 0.2988, 0.1696)
Au (0.6498, 0.7012, 0.8304)
Au (0.6805, 0.6384, 0.2142)
Au (0.8639, 0.2735, 0.5730)

The 8 most intense peaks (2θ from 10° to 80°), by angle:
d/Å	2θ (°)	I_rel
2.856	31.32	23
2.689	33.32	46
2.665	33.64	50
2.527	35.52	26
2.473	36.33	100
2.408	37.34	75
2.194	41.15	19
2.171	41.59	66



(6)
# Sr2HgPd3
Simulated powder XRD pattern, λ = 1.5418 Å (Cu Kα). Input: a structure optimized by DFT (GGA-PBE).
Lines closer than 0.1° are merged.

Structural model:
abc: 5.8199 5.8199 9.1603
angles: 90.00 90.00 120.00
Sites, in units of the cell vectors:
Sr (0.3333, 0.6667, 0.0658)
Sr (0.3333, 0.6667, 0.4342)
Sr (0.6667, 0.3333, 0.5658)
Sr (0.6667, 0.3333, 0.9342)
Hg (0.0000, 0.0000, 0.0000)
Hg (0.0000, 0.0000, 0.5000)
Pd (0.1714, 0.3429, 0.7500)
Pd (0.1714, 0.8286, 0.7500)
Pd (0.3429, 0.1714, 0.2500)
Pd (0.6571, 0.8286, 0.7500)
Pd (0.8286, 0.1714, 0.2500)
Pd (0.8286, 0.6571, 0.2500)

The 8 most intense peaks (2θ from 10° to 80°), by angle:
d/Å	2θ (°)	I_rel
5.040	17.60	39
2.910	30.73	32
2.612	34.34	39
2.456	36.59	100
2.430	37.00	62
2.208	40.87	37
1.577	58.52	26
1.455	63.99	26